Structure and computed powder X-ray diffraction pattern of Pm4Mg5Co2 (a structure optimized by DFT (GGA-PBE); CuKα).

Cell and atoms:
```
data_Pm4Mg5Co2
_chemical_formula_sum 'Pm4 Mg5 Co2'
_cell_length_a 7.9748
_cell_length_b 3.6533
_cell_length_c 9.6718
_cell_angle_alpha 90.00
_cell_angle_beta 94.55
_cell_angle_gamma 90.00
_symmetry_space_group_name_H-M 'P 1 2/m 1'
_symmetry_Int_Tables_number 10
loop_
_symmetry_equiv_pos_as_xyz
'x,y,z'
'-x,-y,-z'
'-x,y,-z'
'x,-y,z'
loop_
_atom_site_label
_atom_site_type_symbol
_atom_site_fract_x
_atom_site_fract_y
_atom_site_fract_z
Pm1 Pm 0.1698 0.0000 0.3369
Pm2 Pm 0.2026 0.0000 0.9458
Mg1 Mg 0.1757 0.5000 0.6484
Mg2 Mg 0.4528 0.5000 0.1699
Mg3 Mg 0.5000 0.5000 0.5000
Co1 Co 0.0718 0.5000 0.1370
```

The 10 most intense peaks (2θ = 10–90°), in order of falling intensity:
- 33.29 deg, I = 100
- 11.13 deg, I = 98
- 37.28 deg, I = 58
- 32.23 deg, I = 47
- 37.40 deg, I = 44
- 22.34 deg, I = 38
- 13.86 deg, I = 34
- 33.83 deg, I = 31
- 20.78 deg, I = 29
- 34.46 deg, I = 26

Structure and computed powder X-ray diffraction pattern of Tm3Te2As (a structure optimized by DFT (GGA-PBE); CuKα).

Cell and atoms:
```
data_Tm3Te2As
_chemical_formula_sum 'Tm12 Te8 As4'
_cell_length_a 7.2945
_cell_length_b 12.6072
_cell_length_c 7.3916
_cell_angle_alpha 90.00
_cell_angle_beta 109.18
_cell_angle_gamma 90.00
_symmetry_space_group_name_H-M 'C 1 2/m 1'
_symmetry_Int_Tables_number 12
loop_
_symmetry_equiv_pos_as_xyz
'x,y,z'
'-x,-y,-z'
'-x,y,-z'
'x,-y,z'
'x+1/2,y+1/2,z'
'-x+1/2,-y+1/2,-z'
'-x+1/2,y+1/2,-z'
'x+1/2,-y+1/2,z'
loop_
_atom_site_label
_atom_site_type_symbol
_atom_site_fract_x
_atom_site_fract_y
_atom_site_fract_z
Tm1 Tm 0.2168 0.0000 0.2175
Tm2 Tm 0.2469 0.1770 0.7763
Te1 Te 0.0000 0.0000 0.5000
Te2 Te 0.0000 0.3406 0.5000
Te3 Te 0.0000 0.5000 0.0000
As1 As 0.0000 0.1685 0.0000
```

The 10 most intense peaks (2θ = 10–90°), in order of falling intensity:
- 29.88 deg, I = 100
- 43.00 deg, I = 37
- 42.52 deg, I = 35
- 70.05 deg, I = 13
- 53.27 deg, I = 12
- 62.07 deg, I = 10
- 70.71 deg, I = 10
- 78.44 deg, I = 7
- 53.17 deg, I = 7
- 25.89 deg, I = 6

Structure and computed powder X-ray diffraction pattern of Ba6Na2As2Ru2O17 (a structure optimized by DFT (GGA-PBE); CuKα).

Cell and atoms:
```
data_Ba6Na2As2Ru2O17
_chemical_formula_sum 'Ba12 Na4 As4 Ru4 O34'
_cell_length_a 5.9404
_cell_length_b 5.9404
_cell_length_c 30.1239
_cell_angle_alpha 90.00
_cell_angle_beta 90.00
_cell_angle_gamma 120.00
_symmetry_space_group_name_H-M 'P 63/m m c'
_symmetry_Int_Tables_number 194
_symmetry_space_group_name_Hall '-P 6c 2c'
loop_
_atom_site_label
_atom_site_type_symbol
_atom_site_fract_x
_atom_site_fract_y
_atom_site_fract_z
Ba1 Ba 0.0000 0.0000 0.0000
Ba2 Ba 0.0000 0.0000 0.2500
Ba3 Ba 0.3333 0.6667 0.0923
Ba4 Ba 0.3333 0.6667 0.6805
Na1 Na 0.0000 0.0000 0.1240
As1 As 0.3333 0.6667 0.5520
Ru1 Ru 0.3333 0.6667 0.2037
O1 O 0.0281 0.5141 0.2500
O2 O 0.1767 0.3533 0.5728
O3 O 0.1769 0.3538 0.1700
O4 O 0.3333 0.6667 0.0048
```

The 10 most intense peaks (2θ = 10–90°), in order of falling intensity:
- 30.09 deg, I = 100
- 29.39 deg, I = 46
- 27.01 deg, I = 31
- 42.56 deg, I = 27
- 53.43 deg, I = 20
- 62.54 deg, I = 18
- 20.91 deg, I = 18
- 40.87 deg, I = 16
- 53.00 deg, I = 16
- 48.67 deg, I = 12

Structure and computed powder X-ray diffraction pattern of Pu3IrRu2 (a structure optimized by DFT (GGA-PBE); CuKα).

Cell and atoms:
```
data_Pu3IrRu2
_chemical_formula_sum 'Pu3 Ir1 Ru2'
_cell_length_a 4.7990
_cell_length_b 4.7990
_cell_length_c 5.9000
_cell_angle_alpha 90.00
_cell_angle_beta 90.00
_cell_angle_gamma 120.00
_symmetry_space_group_name_H-M 'P -3 m 1'
_symmetry_Int_Tables_number 164
_symmetry_space_group_name_Hall '-P 3 2"'
loop_
_atom_site_label
_atom_site_type_symbol
_atom_site_fract_x
_atom_site_fract_y
_atom_site_fract_z
Pu1 Pu 0.0000 0.0000 0.0000
Pu2 Pu 0.3333 0.6667 0.6635
Ir1 Ir 0.0000 0.0000 0.5000
Ru1 Ru 0.3333 0.6667 0.1507
```

The 10 most intense peaks (2θ = 10–90°), in order of falling intensity:
- 37.43 deg, I = 100
- 67.58 deg, I = 27
- 53.97 deg, I = 18
- 26.23 deg, I = 10
- 67.37 deg, I = 9
- 79.72 deg, I = 6
- 79.97 deg, I = 6
- 46.32 deg, I = 2
- 61.04 deg, I = 2
- 60.91 deg, I = 2

Structure and computed powder X-ray diffraction pattern of Pm6Pr2Nd (a structure optimized by DFT (GGA-PBE); CuKα).

Cell and atoms:
```
data_Pm6Pr2Nd
_chemical_formula_sum 'Pm6 Pr2 Nd1'
_cell_length_a 7.6960
_cell_length_b 7.6960
_cell_length_c 6.2332
_cell_angle_alpha 90.00
_cell_angle_beta 90.00
_cell_angle_gamma 120.00
_symmetry_space_group_name_H-M 'P -3 m 1'
_symmetry_Int_Tables_number 164
_symmetry_space_group_name_Hall '-P 3 2"'
loop_
_atom_site_label
_atom_site_type_symbol
_atom_site_fract_x
_atom_site_fract_y
_atom_site_fract_z
Pm1 Pm 0.1874 0.3748 0.2905
Pr1 Pr 0.3333 0.6667 0.7851
Nd1 Nd 0.0000 0.0000 0.0000
```

The 10 most intense peaks (2θ = 10–90°), in order of falling intensity:
- 30.42 deg, I = 100
- 39.59 deg, I = 25
- 47.24 deg, I = 21
- 28.64 deg, I = 17
- 31.69 deg, I = 14
- 26.75 deg, I = 13
- 57.23 deg, I = 13
- 51.86 deg, I = 12
- 43.23 deg, I = 11
- 35.64 deg, I = 11

Structure and computed powder X-ray diffraction pattern of SmYIn3 (a structure optimized by DFT (GGA-PBE); CuKα).

Cell and atoms:
```
data_SmYIn3
_chemical_formula_sum 'Sm4 Y4 In12'
_cell_length_a 5.8597
_cell_length_b 5.8597
_cell_length_c 21.9716
_cell_angle_alpha 90.00
_cell_angle_beta 90.00
_cell_angle_gamma 90.00
_symmetry_space_group_name_H-M 'I -4 m 2'
_symmetry_Int_Tables_number 119
_symmetry_space_group_name_Hall 'I -4 -2'
loop_
_atom_site_label
_atom_site_type_symbol
_atom_site_fract_x
_atom_site_fract_y
_atom_site_fract_z
Sm1 Sm 0.0000 0.0000 0.0840
Y1 Y 0.0000 0.0000 0.5000
Y2 Y 0.0000 0.5000 0.7500
In1 In 0.0000 0.2461 0.6282
In2 In 0.0000 0.5000 0.0048
```

The 10 most intense peaks (2θ = 10–90°), in order of falling intensity:
- 40.05 deg, I = 100
- 31.60 deg, I = 99
- 15.65 deg, I = 94
- 32.36 deg, I = 94
- 30.51 deg, I = 77
- 26.95 deg, I = 65
- 32.62 deg, I = 64
- 36.41 deg, I = 53
- 39.38 deg, I = 52
- 34.47 deg, I = 49

Structure and computed powder X-ray diffraction pattern of Ba4Na3Rh (a structure optimized by DFT (GGA-PBE); CuKα).

Cell and atoms:
```
data_Ba4Na3Rh
_chemical_formula_sum 'Ba16 Na12 Rh4'
_cell_length_a 12.1901
_cell_length_b 12.3750
_cell_length_c 9.9540
_cell_angle_alpha 90.00
_cell_angle_beta 90.00
_cell_angle_gamma 90.00
_symmetry_space_group_name_H-M 'P n m a'
_symmetry_Int_Tables_number 62
loop_
_symmetry_equiv_pos_as_xyz
'x,y,z'
'-x,-y,-z'
'-x+1/2,-y,z+1/2'
'x+1/2,y,-z+1/2'
'x+1/2,-y+1/2,-z+1/2'
'-x+1/2,y+1/2,z+1/2'
'-x,y+1/2,-z'
'x,-y+1/2,z'
loop_
_atom_site_label
_atom_site_type_symbol
_atom_site_fract_x
_atom_site_fract_y
_atom_site_fract_z
Ba1 Ba 0.1130 0.2500 0.0486
Ba2 Ba 0.1168 0.7500 0.2595
Ba3 Ba 0.1839 0.0810 0.4834
Na1 Na 0.0477 0.5155 0.8355
Na2 Na 0.0977 0.7500 0.6699
Rh1 Rh 0.1346 0.7500 0.9658
```

The 10 most intense peaks (2θ = 10–90°), in order of falling intensity:
- 27.79 deg, I = 100
- 24.47 deg, I = 65
- 24.18 deg, I = 64
- 18.39 deg, I = 63
- 17.82 deg, I = 45
- 26.08 deg, I = 42
- 13.53 deg, I = 40
- 37.96 deg, I = 37
- 14.31 deg, I = 37
- 31.47 deg, I = 35

Structure and computed powder X-ray diffraction pattern of CsTl2AgCl8 (a structure optimized by DFT (GGA-PBE); CuKα).

Cell and atoms:
```
data_CsTl2AgCl8
_chemical_formula_sum 'Cs3 Tl6 Ag3 Cl24'
_cell_length_a 6.8399
_cell_length_b 6.8399
_cell_length_c 29.3559
_cell_angle_alpha 90.00
_cell_angle_beta 90.00
_cell_angle_gamma 120.00
_symmetry_space_group_name_H-M 'R -3'
_symmetry_Int_Tables_number 148
_symmetry_space_group_name_Hall '-R 3'
loop_
_atom_site_label
_atom_site_type_symbol
_atom_site_fract_x
_atom_site_fract_y
_atom_site_fract_z
Cs1 Cs 0.0000 0.0000 0.0000
Tl1 Tl 0.0000 0.0000 0.2439
Ag1 Ag 0.0000 0.0000 0.5000
Cl1 Cl 0.0000 0.0000 0.3285
Cl2 Cl 0.0070 0.3530 0.7787
```

The 10 most intense peaks (2θ = 10–90°), in order of falling intensity:
- 19.26 deg, I = 100
- 26.05 deg, I = 52
- 28.62 deg, I = 36
- 45.59 deg, I = 33
- 32.60 deg, I = 31
- 42.20 deg, I = 29
- 45.96 deg, I = 26
- 47.58 deg, I = 18
- 39.08 deg, I = 15
- 16.14 deg, I = 14

Structure and computed powder X-ray diffraction pattern of NdTmGa2Pt2 (a structure optimized by DFT (GGA-PBE); CuKα).

Cell and atoms:
```
data_NdTmGa2Pt2
_chemical_formula_sum 'Nd1 Tm1 Ga2 Pt2'
_cell_length_a 4.4762
_cell_length_b 4.4762
_cell_length_c 7.1022
_cell_angle_alpha 90.00
_cell_angle_beta 90.00
_cell_angle_gamma 120.00
_symmetry_space_group_name_H-M 'P -3 m 1'
_symmetry_Int_Tables_number 164
_symmetry_space_group_name_Hall '-P 3 2"'
loop_
_atom_site_label
_atom_site_type_symbol
_atom_site_fract_x
_atom_site_fract_y
_atom_site_fract_z
Nd1 Nd 0.0000 0.0000 0.0000
Tm1 Tm 0.0000 0.0000 0.5000
Ga1 Ga 0.3333 0.6667 0.2759
Pt1 Pt 0.3333 0.6667 0.7226
```

The 10 most intense peaks (2θ = 10–90°), in order of falling intensity:
- 34.24 deg, I = 100
- 40.30 deg, I = 71
- 53.89 deg, I = 28
- 69.39 deg, I = 26
- 26.19 deg, I = 25
- 67.31 deg, I = 23
- 73.26 deg, I = 12
- 51.47 deg, I = 9
- 44.86 deg, I = 8
- 87.09 deg, I = 8

Structure and computed powder X-ray diffraction pattern of Tl2In6Hg (a structure optimized by DFT (GGA-PBE); CuKα).

Cell and atoms:
```
data_Tl2In6Hg
_chemical_formula_sum 'Tl2 In6 Hg1'
_cell_length_a 9.4387
_cell_length_b 9.4387
_cell_length_c 3.2873
_cell_angle_alpha 90.00
_cell_angle_beta 90.00
_cell_angle_gamma 120.00
_symmetry_space_group_name_H-M 'P -3 1 m'
_symmetry_Int_Tables_number 162
_symmetry_space_group_name_Hall '-P 3 2'
loop_
_atom_site_label
_atom_site_type_symbol
_atom_site_fract_x
_atom_site_fract_y
_atom_site_fract_z
Tl1 Tl 0.3333 0.6667 0.0000
In1 In 0.0000 0.3305 0.6539
Hg1 Hg 0.0000 0.0000 0.5000
```

The 10 most intense peaks (2θ = 10–90°), in order of falling intensity:
- 32.87 deg, I = 100
- 33.21 deg, I = 47
- 29.28 deg, I = 26
- 40.05 deg, I = 22
- 58.69 deg, I = 19
- 59.56 deg, I = 18
- 58.91 deg, I = 18
- 47.43 deg, I = 17
- 79.26 deg, I = 16
- 35.03 deg, I = 15

Structure and computed powder X-ray diffraction pattern of DyScCBr (a structure optimized by DFT (GGA-PBE); CuKα).

Cell and atoms:
```
data_DyScCBr
_chemical_formula_sum 'Dy3 Sc3 C3 Br3'
_cell_length_a 3.5705
_cell_length_b 3.5705
_cell_length_c 20.6490
_cell_angle_alpha 90.00
_cell_angle_beta 90.00
_cell_angle_gamma 120.00
_symmetry_space_group_name_H-M 'R 3 m'
_symmetry_Int_Tables_number 160
_symmetry_space_group_name_Hall 'R 3 -2"'
loop_
_atom_site_label
_atom_site_type_symbol
_atom_site_fract_x
_atom_site_fract_y
_atom_site_fract_z
Dy1 Dy 0.0000 0.0000 0.0000
Sc1 Sc 0.0000 0.0000 0.7842
C1 C 0.0000 0.0000 0.4000
Br1 Br 0.0000 0.0000 0.2217
```

The 10 most intense peaks (2θ = 10–90°), in order of falling intensity:
- 36.29 deg, I = 100
- 33.79 deg, I = 96
- 29.20 deg, I = 76
- 12.86 deg, I = 48
- 51.17 deg, I = 42
- 66.34 deg, I = 34
- 39.27 deg, I = 27
- 45.79 deg, I = 20
- 53.35 deg, I = 20
- 64.34 deg, I = 18

Structure and computed powder X-ray diffraction pattern of NaTl3Hg (a structure optimized by DFT (GGA-PBE); CuKα).

Cell and atoms:
```
data_NaTl3Hg
_chemical_formula_sum 'Na4 Tl12 Hg4'
_cell_length_a 7.3404
_cell_length_b 8.9091
_cell_length_c 9.0869
_cell_angle_alpha 90.00
_cell_angle_beta 90.00
_cell_angle_gamma 90.00
_symmetry_space_group_name_H-M 'P n m a'
_symmetry_Int_Tables_number 62
loop_
_symmetry_equiv_pos_as_xyz
'x,y,z'
'-x,-y,-z'
'-x+1/2,-y,z+1/2'
'x+1/2,y,-z+1/2'
'x+1/2,-y+1/2,-z+1/2'
'-x+1/2,y+1/2,z+1/2'
'-x,y+1/2,-z'
'x,-y+1/2,z'
loop_
_atom_site_label
_atom_site_type_symbol
_atom_site_fract_x
_atom_site_fract_y
_atom_site_fract_z
Na1 Na 0.2189 0.2500 0.0411
Tl1 Tl 0.1204 0.5542 0.8356
Tl2 Tl 0.1958 0.7500 0.1677
Hg1 Hg 0.0000 0.0000 0.5000
```

The 10 most intense peaks (2θ = 10–90°), in order of falling intensity:
- 31.96 deg, I = 100
- 30.63 deg, I = 95
- 33.13 deg, I = 85
- 31.70 deg, I = 70
- 26.23 deg, I = 62
- 37.96 deg, I = 55
- 31.59 deg, I = 53
- 33.55 deg, I = 51
- 19.93 deg, I = 42
- 38.09 deg, I = 38

Number 5 is which compound? Pm6Pr2Nd